Record 1
Theoretical powder diffraction line list of Pm3Dy5Tm for Cu Kα X-rays, from the PBE geometry in Alexandria.

Principal peaks in the range 10° ≤ 2θ ≤ 80°, in order of rising 2θ:
2θ/deg  I (rel.)
28.72  46
28.98  52
30.93  100
32.49  11
34.55  12
37.12  11
37.66  16
43.17  20
46.43  10
47.03  12
52.59  23
56.19  13

Structural model:
```
Pm3Dy5Tm
1.0
-4.3578 4.3578 7.7294
4.3578 -4.3578 7.7294
4.3578 4.3578 -7.7294
Pm Dy Tm
6 10 2
direct
0.1166 0.6166 0.7332
0.2500 0.2500 0.0000
0.3834 0.1166 0.5000
0.6166 0.8834 0.5000
0.7500 0.7500 0.0000
0.8834 0.3834 0.2668
0.0000 0.0000 0.0000
0.0723 0.1518 0.5000
0.1518 0.6518 0.0796
0.3482 0.4277 0.5000
0.4277 0.9277 0.0796
0.5000 0.5000 0.0000
0.5723 0.0723 0.9204
0.6518 0.5723 0.5000
0.8482 0.3482 0.9204
0.9277 0.8482 0.5000
0.2500 0.7500 0.5000
0.7500 0.2500 0.5000
```


Record 2
Theoretical powder diffraction line list of PmDy5Tm7 for Cu Kα X-rays, from the PBE geometry in Alexandria.

Principal peaks in the range 10° ≤ 2θ ≤ 80°, in order of rising 2θ:
2θ/deg  I (rel.)
26.79  24
27.85  37
31.07  48
31.21  76
31.44  48
31.55  23
32.01  100
35.22  93
36.33  35
57.55  32
58.17  41
66.93  27

Structural model:
```
PmDy5Tm7
1.0
-3.3284 5.4813 5.7318
3.3284 -5.4813 5.7318
3.3284 5.4813 -5.7318
Pm Dy Tm
1 5 7
direct
0.0000 0.0000 0.0000
0.0273 0.0314 0.4598
0.0273 0.5675 0.9959
0.3024 0.8024 0.5000
0.5716 0.0314 0.0041
0.5716 0.5675 0.5402
0.2187 0.5495 0.6692
0.3042 0.3042 0.0000
0.3831 0.0519 0.3312
0.6094 0.6094 0.0000
0.7207 0.0519 0.6688
0.7994 0.2994 0.5000
0.8803 0.5495 0.3308
```


Record 3
Theoretical powder diffraction line list of Pm3DyTm for Cu Kα X-rays, from the PBE geometry in Alexandria.

Principal peaks in the range 10° ≤ 2θ ≤ 80°, in order of rising 2θ:
2θ/deg  I (rel.)
26.41  20
26.82  24
30.66  31
31.75  9
31.89  24
32.64  16
33.72  100
49.04  13
51.34  11
56.49  12
60.99  9
61.70  10

Structural model:
```
Pm3DyTm
1.0
3.5597 0.0000 0.0000
0.0000 17.4940 0.0000
0.0000 0.0000 10.9741
Pm Dy Tm
12 4 4
direct
0.2470 0.2500 0.0000
0.2470 0.2500 0.5000
0.2517 0.5765 0.0562
0.2517 0.5765 0.4438
0.2517 0.9235 0.5562
0.2517 0.9235 0.9438
0.7483 0.0765 0.0562
0.7483 0.0765 0.4438
0.7483 0.4235 0.5562
0.7483 0.4235 0.9438
0.7530 0.7500 0.0000
0.7530 0.7500 0.5000
0.2457 0.1008 0.7500
0.2457 0.3992 0.2500
0.7543 0.6008 0.7500
0.7543 0.8992 0.2500
0.2539 0.7255 0.2500
0.2539 0.7745 0.7500
0.7461 0.2255 0.2500
0.7461 0.2745 0.7500
```


What did the third record say?
Theoretical powder diffraction line list of Pm3DyTm for Cu Kα X-rays, from the PBE geometry in Alexandria.

Principal peaks in the range 10° ≤ 2θ ≤ 80°, in order of rising 2θ:
2θ/deg  I (rel.)
26.41  20
26.82  24
30.66  31
31.75  9
31.89  24
32.64  16
33.72  100
49.04  13
51.34  11
56.49  12
60.99  9
61.70  10

Structural model:
```
Pm3DyTm
1.0
3.5597 0.0000 0.0000
0.0000 17.4940 0.0000
0.0000 0.0000 10.9741
Pm Dy Tm
12 4 4
direct
0.2470 0.2500 0.0000
0.2470 0.2500 0.5000
0.2517 0.5765 0.0562
0.2517 0.5765 0.4438
0.2517 0.9235 0.5562
0.2517 0.9235 0.9438
0.7483 0.0765 0.0562
0.7483 0.0765 0.4438
0.7483 0.4235 0.5562
0.7483 0.4235 0.9438
0.7530 0.7500 0.0000
0.7530 0.7500 0.5000
0.2457 0.1008 0.7500
0.2457 0.3992 0.2500
0.7543 0.6008 0.7500
0.7543 0.8992 0.2500
0.2539 0.7255 0.2500
0.2539 0.7745 0.7500
0.7461 0.2255 0.2500
0.7461 0.2745 0.7500
```